Calculated powder X-ray diffraction pattern of BaHf15O31 for Cu Ka, from a crystal structure in OQMD, relaxed with GGA-PBE.
Peak positions follow from Bragg's law for the DFT cell and can differ from measured ones.

Crystal structure
```
BaHf15O31
1.0
7.1978 0.0000 0.0000
0.0947 7.4011 0.0000
0.3868 0.1510 10.2434
Ba Hf O
1 15 31
direct
0.0000 0.0000 0.0000
0.0225 0.4984 0.5104
0.0449 0.0131 0.4805
0.2670 0.2764 0.7537
0.2671 0.7600 0.2474
0.2739 0.7730 0.7350
0.2875 0.2943 0.2479
0.5077 0.9994 0.9678
0.5193 0.5168 0.4986
0.5211 0.4761 0.9881
0.5266 0.0140 0.4755
0.7678 0.7283 0.7430
0.7701 0.2272 0.7213
0.7808 0.7496 0.2442
0.7924 0.2903 0.2634
0.9979 0.5015 0.9865
0.0222 0.2530 0.3733
0.0220 0.8115 0.3525
0.0266 0.6860 0.1340
0.0428 0.7202 0.8477
0.0491 0.2946 0.1318
0.0603 0.2601 0.6134
0.2508 0.5118 0.3879
0.2610 0.4431 0.9102
0.2714 0.9509 0.5802
0.2872 0.0232 0.8323
0.2904 0.5296 0.6376
0.3038 0.0369 0.3416
0.3089 0.9131 0.0924
0.3636 0.5366 0.1516
0.4803 0.7260 0.8638
0.4813 0.2351 0.6056
0.4929 0.2200 0.1003
0.5189 0.7396 0.3557
0.5375 0.3038 0.3639
0.5473 0.2623 0.8544
0.5642 0.7735 0.6023
0.6831 0.8526 0.0774
0.7391 0.4865 0.1271
0.7401 0.0201 0.3053
0.7407 0.9778 0.8192
0.7503 0.4752 0.6256
0.7623 0.5364 0.8841
0.7848 0.0620 0.5602
0.8047 0.5251 0.3802
0.9817 0.2752 0.8472
0.9862 0.7459 0.6028
```

Peak list (8 most intense, 10 to 90 degrees two-theta, sorted by position)
2θ/deg	I/Imax	index
29.57	98	0 2 2
29.82	100	2 0 2
30.00	98	0 2 -2
30.92	93	2 0 -2
34.57	47	2 2 0
35.02	92	2 -2 0
50.80	54	4 0 0
59.23	36	2 -4 2